(1)
The following is a simulated PXRD pattern of KAgIBr2. It was derived from the PBE geometry in Alexandria, using Cu Ka.

Atomic structure:
```
data_KAgIBr2
_chemical_formula_sum 'K2 Ag2 I2 Br4'
_symmetry_space_group_name_H-M 'P 1'
_symmetry_Int_Tables_number 1
_symmetry_space_group_name_Hall 'P 1'
_cell_length_a 8.8509
_cell_length_b 8.8509
_cell_length_c 8.8316
_cell_angle_alpha 90.00
_cell_angle_beta 90.00
_cell_angle_gamma 150.64
loop_
_atom_site_label
_atom_site_fract_x
_atom_site_fract_y
_atom_site_fract_z
K1 0.2072 0.7928 0.7500
K2 0.7928 0.2072 0.2500
Ag1 0.5000 0.5000 0.0000
Ag2 0.5000 0.5000 0.5000
I1 0.0058 0.9942 0.2500
I2 0.9942 0.0058 0.7500
Br1 0.3502 0.6498 0.0027
Br2 0.3502 0.6498 0.4973
Br3 0.6498 0.3502 0.5027
Br4 0.6498 0.3502 0.9973
```

The 8 most intense peaks (10° ≤ 2θ ≤ 80°), sorted by position:
2theta  intensity
10.33  50.0
28.85  100.0
31.34  22.9
38.86  27.8
40.20  16.4
40.87  15.6
47.05  26.3
78.79  11.9

---

(2)
The following is a simulated PXRD pattern of K2AgIBr6. It was derived from the PBE geometry in Alexandria, using Cu Ka.

Atomic structure:
```
data_K2AgIBr6
_chemical_formula_sum 'K2 Ag1 I1 Br6'
_symmetry_space_group_name_H-M 'P 1'
_symmetry_Int_Tables_number 1
_symmetry_space_group_name_Hall 'P 1'
_cell_length_a 7.0183
_cell_length_b 7.5941
_cell_length_c 8.6744
_cell_angle_alpha 67.27
_cell_angle_beta 89.06
_cell_angle_gamma 65.72
loop_
_atom_site_label
_atom_site_fract_x
_atom_site_fract_y
_atom_site_fract_z
K1 0.0000 0.0000 0.0000
K2 0.3430 0.1270 0.3688
Ag1 0.6713 0.5631 0.1844
I1 0.1721 0.5633 0.6847
Br1 0.3521 0.5978 0.3889
Br2 0.3824 0.7501 0.7710
Br3 0.5196 0.9670 0.0570
Br4 0.8229 0.1592 0.3121
Br5 0.9615 0.3767 0.5982
Br6 0.9925 0.5286 0.9811
```

The 8 most intense peaks (10° ≤ 2θ ≤ 80°), sorted by position:
2theta  intensity
14.07  67.0
16.44  100.0
19.46  54.3
23.98  75.7
28.35  40.3
33.24  84.9
34.68  43.7
35.75  33.8

---

(3)
The following is a simulated PXRD pattern of Li2AgI2Br. It was derived from the PBE geometry in Alexandria, using Cu Ka.

Atomic structure:
```
data_Li2AgI2Br
_chemical_formula_sum 'Li4 Ag2 I4 Br2'
_symmetry_space_group_name_H-M 'P 1'
_symmetry_Int_Tables_number 1
_symmetry_space_group_name_Hall 'P 1'
_cell_length_a 7.8085
_cell_length_b 7.8085
_cell_length_c 7.3162
_cell_angle_alpha 90.00
_cell_angle_beta 90.00
_cell_angle_gamma 59.51
loop_
_atom_site_label
_atom_site_fract_x
_atom_site_fract_y
_atom_site_fract_z
Li1 0.0223 0.6655 0.5000
Li2 0.3345 0.9777 0.5000
Li3 0.6655 0.0223 0.0000
Li4 0.9777 0.3345 0.0000
Ag1 0.3265 0.6735 0.9817
Ag2 0.6735 0.3265 0.4817
I1 0.0086 0.3334 0.6198
I2 0.3334 0.0086 0.1198
I3 0.6666 0.9914 0.6198
I4 0.9914 0.6666 0.1198
Br1 0.3309 0.6691 0.6026
Br2 0.6691 0.3309 0.1026
```

The 8 most intense peaks (10° ≤ 2θ ≤ 80°), sorted by position:
2theta  intensity
17.91  58.4
22.78  69.7
24.33  67.3
25.87  100.0
26.02  54.5
40.21  61.0
43.80  97.7
47.55  42.2

---

(4)
The following is a simulated PXRD pattern of Na3Ag2I3Br2. It was derived from the PBE geometry in Alexandria, using Cu Ka.

Atomic structure:
```
data_Na3Ag2I3Br2
_chemical_formula_sum 'Na3 Ag2 I3 Br2'
_symmetry_space_group_name_H-M 'P 1'
_symmetry_Int_Tables_number 1
_symmetry_space_group_name_Hall 'P 1'
_cell_length_a 16.4803
_cell_length_b 16.4803
_cell_length_c 16.4803
_cell_angle_alpha 164.12
_cell_angle_beta 164.12
_cell_angle_gamma 22.53
loop_
_atom_site_label
_atom_site_fract_x
_atom_site_fract_y
_atom_site_fract_z
Na1 0.0000 0.0000 0.0000
Na2 0.4017 0.4017 0.0000
Na3 0.5983 0.5983 0.0000
Ag1 0.2500 0.7500 0.5000
Ag2 0.7500 0.2500 0.5000
I1 0.1030 0.1030 0.0000
I2 0.5000 0.5000 0.0000
I3 0.8970 0.8970 0.0000
Br1 0.2994 0.2994 0.0000
Br2 0.7006 0.7006 0.0000
```

The 8 most intense peaks (10° ≤ 2θ ≤ 80°), sorted by position:
2theta  intensity
10.95  16.5
23.91  79.1
27.71  19.0
28.27  25.4
29.88  15.5
39.53  100.0
46.78  25.4
71.77  21.7

---

(5)
The following is a simulated PXRD pattern of Ag6IBr2O. It was derived from the PBE geometry in Alexandria, using Cu Ka.

Atomic structure:
```
data_Ag6IBr2O
_chemical_formula_sum 'Ag12 I2 Br4 O2'
_symmetry_space_group_name_H-M 'P 1'
_symmetry_Int_Tables_number 1
_symmetry_space_group_name_Hall 'P 1'
_cell_length_a 6.9702
_cell_length_b 5.7783
_cell_length_c 14.9863
_cell_angle_alpha 90.00
_cell_angle_beta 117.52
_cell_angle_gamma 90.00
loop_
_atom_site_label
_atom_site_fract_x
_atom_site_fract_y
_atom_site_fract_z
Ag1 0.0814 0.1470 0.0846
Ag2 0.0814 0.3530 0.5846
Ag3 0.1170 0.2102 0.4013
Ag4 0.1170 0.2898 0.9013
Ag5 0.3125 0.7138 0.1012
Ag6 0.3125 0.7862 0.6012
Ag7 0.6875 0.2138 0.3988
Ag8 0.6875 0.2862 0.8988
Ag9 0.8830 0.7102 0.0987
Ag10 0.8830 0.7898 0.5987
Ag11 0.9186 0.6470 0.4154
Ag12 0.9186 0.8530 0.9154
I1 0.5000 0.0000 0.0000
I2 0.5000 0.5000 0.5000
Br1 0.2823 0.0362 0.2804
Br2 0.2823 0.4638 0.7804
Br3 0.7177 0.5362 0.2196
Br4 0.7177 0.9638 0.7196
O1 0.0000 0.0000 0.5000
O2 0.0000 0.5000 0.0000
```

The 8 most intense peaks (10° ≤ 2θ ≤ 80°), sorted by position:
2theta  intensity
13.32  46.8
20.37  46.9
24.07  46.0
30.70  33.3
32.90  100.0
36.17  42.8
40.56  54.5
41.41  35.6

---

(6)
The following is a simulated PXRD pattern of AgPb2IBr4. It was derived from the PBE geometry in Alexandria, using Cu Ka.

Atomic structure:
```
data_AgPb2IBr4
_chemical_formula_sum 'Ag2 Pb4 I2 Br8'
_symmetry_space_group_name_H-M 'P 1'
_symmetry_Int_Tables_number 1
_symmetry_space_group_name_Hall 'P 1'
_cell_length_a 14.2343
_cell_length_b 4.2844
_cell_length_c 10.6615
_cell_angle_alpha 90.00
_cell_angle_beta 120.58
_cell_angle_gamma 90.00
loop_
_atom_site_label
_atom_site_fract_x
_atom_site_fract_y
_atom_site_fract_z
Ag1 0.0000 0.0000 0.0000
Ag2 0.5000 0.5000 0.0000
Pb1 0.1819 0.0000 0.7587
Pb2 0.3181 0.5000 0.2413
Pb3 0.6819 0.5000 0.7587
Pb4 0.8181 0.0000 0.2413
I1 0.0000 0.5000 0.5000
I2 0.5000 0.0000 0.5000
Br1 0.1195 0.5000 0.9252
Br2 0.1763 0.0000 0.2675
Br3 0.3237 0.5000 0.7325
Br4 0.3805 0.0000 0.0748
Br5 0.6195 0.0000 0.9252
Br6 0.6763 0.5000 0.2675
Br7 0.8237 0.0000 0.7325
Br8 0.8805 0.5000 0.0748
```

The 8 most intense peaks (10° ≤ 2θ ≤ 80°), sorted by position:
2theta  intensity
12.65  43.2
17.27  58.1
25.49  38.5
28.10  48.0
29.30  100.0
29.67  60.4
33.63  41.3
52.44  39.4

---

(7)
The following is a simulated PXRD pattern of Rb3Ag2I2Br3. It was derived from the PBE geometry in Alexandria, using Cu Ka.

Atomic structure:
```
data_Rb3Ag2I2Br3
_chemical_formula_sum 'Rb3 Ag2 I2 Br3'
_symmetry_space_group_name_H-M 'P 1'
_symmetry_Int_Tables_number 1
_symmetry_space_group_name_Hall 'P 1'
_cell_length_a 14.5720
_cell_length_b 14.5720
_cell_length_c 14.5720
_cell_angle_alpha 158.11
_cell_angle_beta 158.11
_cell_angle_gamma 31.15
loop_
_atom_site_label
_atom_site_fract_x
_atom_site_fract_y
_atom_site_fract_z
Rb1 0.0000 0.0000 0.0000
Rb2 0.3717 0.3717 0.0000
Rb3 0.6283 0.6283 0.0000
Ag1 0.2125 0.2125 0.0000
Ag2 0.7875 0.7875 0.0000
I1 0.2500 0.7500 0.5000
I2 0.7500 0.2500 0.5000
Br1 0.1169 0.1169 0.0000
Br2 0.5000 0.5000 0.0000
Br3 0.8831 0.8831 0.0000
```

The 8 most intense peaks (10° ≤ 2θ ≤ 80°), sorted by position:
2theta  intensity
22.73  59.8
25.38  44.2
26.07  29.2
29.77  32.7
32.36  100.0
39.51  46.0
41.57  46.2
46.41  35.6

---

(8)
The following is a simulated PXRD pattern of SrAgIBr2. It was derived from the PBE geometry in Alexandria, using Cu Ka.

Atomic structure:
```
data_SrAgIBr2
_chemical_formula_sum 'Sr2 Ag2 I2 Br4'
_symmetry_space_group_name_H-M 'P 1'
_symmetry_Int_Tables_number 1
_symmetry_space_group_name_Hall 'P 1'
_cell_length_a 8.5767
_cell_length_b 4.7971
_cell_length_c 9.8806
_cell_angle_alpha 90.00
_cell_angle_beta 96.43
_cell_angle_gamma 90.00
loop_
_atom_site_label
_atom_site_fract_x
_atom_site_fract_y
_atom_site_fract_z
Sr1 0.2434 0.2500 0.4374
Sr2 0.7566 0.7500 0.5626
Ag1 0.0567 0.7500 0.0739
Ag2 0.9433 0.2500 0.9261
I1 0.3927 0.7500 0.6481
I2 0.6073 0.2500 0.3519
Br1 0.0184 0.7500 0.3508
Br2 0.2214 0.2500 0.0954
Br3 0.7786 0.7500 0.9046
Br4 0.9816 0.2500 0.6492
```

The 8 most intense peaks (10° ≤ 2θ ≤ 80°), sorted by position:
2theta  intensity
10.38  75.6
12.97  96.8
22.66  77.0
23.60  83.8
30.21  77.8
36.77  100.0
37.50  72.0
37.72  64.6

---

(9)
The following is a simulated PXRD pattern of TlAg2IBr2. It was derived from the PBE geometry in Alexandria, using Cu Ka.

Atomic structure:
```
data_TlAg2IBr2
_chemical_formula_sum 'Tl2 Ag4 I2 Br4'
_symmetry_space_group_name_H-M 'P 1'
_symmetry_Int_Tables_number 1
_symmetry_space_group_name_Hall 'P 1'
_cell_length_a 7.5967
_cell_length_b 5.8937
_cell_length_c 10.0425
_cell_angle_alpha 90.00
_cell_angle_beta 109.88
_cell_angle_gamma 90.00
loop_
_atom_site_label
_atom_site_fract_x
_atom_site_fract_y
_atom_site_fract_z
Tl1 0.1757 0.2500 0.4156
Tl2 0.8243 0.7500 0.5844
Ag1 0.3912 0.9996 0.8440
Ag2 0.3912 0.5004 0.8440
Ag3 0.6088 0.0004 0.1560
Ag4 0.6088 0.4996 0.1560
I1 0.2619 0.7500 0.0459
I2 0.7381 0.2500 0.9541
Br1 0.0700 0.2500 0.7035
Br2 0.4025 0.7500 0.6139
Br3 0.5975 0.2500 0.3861
Br4 0.9300 0.7500 0.2965
```

The 8 most intense peaks (10° ≤ 2θ ≤ 80°), sorted by position:
2theta  intensity
12.74  74.0
19.76  38.0
23.47  100.0
24.14  63.8
26.78  49.8
29.23  47.5
40.13  66.1
41.97  43.3

---

(10)
The following is a simulated PXRD pattern of TlAgIBr2. It was derived from the PBE geometry in Alexandria, using Cu Ka.

Atomic structure:
```
data_TlAgIBr2
_chemical_formula_sum 'Tl2 Ag2 I2 Br4'
_symmetry_space_group_name_H-M 'P 1'
_symmetry_Int_Tables_number 1
_symmetry_space_group_name_Hall 'P 1'
_cell_length_a 9.0818
_cell_length_b 9.0818
_cell_length_c 8.5909
_cell_angle_alpha 90.00
_cell_angle_beta 90.00
_cell_angle_gamma 151.48
loop_
_atom_site_label
_atom_site_fract_x
_atom_site_fract_y
_atom_site_fract_z
Tl1 0.2041 0.7959 0.7500
Tl2 0.7959 0.2041 0.2500
Ag1 0.5000 0.5000 0.0000
Ag2 0.5000 0.5000 0.5000
I1 0.0034 0.9966 0.7500
I2 0.9966 0.0034 0.2500
Br1 0.3530 0.6470 0.5074
Br2 0.3530 0.6470 0.9926
Br3 0.6470 0.3530 0.0074
Br4 0.6470 0.3530 0.4926
```

The 8 most intense peaks (10° ≤ 2θ ≤ 80°), sorted by position:
2theta  intensity
14.41  19.0
22.98  53.1
29.05  17.7
29.26  100.0
30.47  22.1
38.71  53.4
40.31  24.4
42.07  21.4

---

(11)
The following is a simulated PXRD pattern of Tl5AgI4Br2. It was derived from the PBE geometry in Alexandria, using Cu Ka.

Atomic structure:
```
data_Tl5AgI4Br2
_chemical_formula_sum 'Tl5 Ag1 I4 Br2'
_symmetry_space_group_name_H-M 'P 1'
_symmetry_Int_Tables_number 1
_symmetry_space_group_name_Hall 'P 1'
_cell_length_a 9.8298
_cell_length_b 7.7654
_cell_length_c 7.7654
_cell_angle_alpha 114.33
_cell_angle_beta 90.00
_cell_angle_gamma 90.00
loop_
_atom_site_label
_atom_site_fract_x
_atom_site_fract_y
_atom_site_fract_z
Tl1 0.0000 0.0000 0.0000
Tl2 0.2467 0.3072 0.7121
Tl3 0.2467 0.7121 0.3072
Tl4 0.7533 0.3072 0.7121
Tl5 0.7533 0.7121 0.3072
Ag1 0.5000 0.0307 0.0307
I1 0.2734 0.2468 0.2468
I2 0.5000 0.6424 0.9795
I3 0.5000 0.9795 0.6424
I4 0.7266 0.2468 0.2468
Br1 0.0000 0.5790 0.9915
Br2 0.0000 0.9915 0.5790
```

The 8 most intense peaks (10° ≤ 2θ ≤ 80°), sorted by position:
2theta  intensity
22.02  55.6
23.01  58.5
31.15  100.0
36.57  23.4
38.16  20.9
40.58  37.9
43.65  19.9
51.30  16.8

---

(12)
The following is a simulated PXRD pattern of InAgBr. It was derived from the PBE geometry in Alexandria, using Cu Ka.

Atomic structure:
```
data_InAgBr
_chemical_formula_sum 'In4 Ag4 Br4'
_symmetry_space_group_name_H-M 'P 1'
_symmetry_Int_Tables_number 1
_symmetry_space_group_name_Hall 'P 1'
_cell_length_a 12.4176
_cell_length_b 5.9881
_cell_length_c 4.7972
_cell_angle_alpha 90.00
_cell_angle_beta 112.55
_cell_angle_gamma 90.00
loop_
_atom_site_label
_atom_site_fract_x
_atom_site_fract_y
_atom_site_fract_z
In1 0.1840 0.0000 0.4345
In2 0.3160 0.5000 0.5655
In3 0.6840 0.5000 0.4345
In4 0.8160 0.0000 0.5655
Ag1 0.2501 0.2499 0.9728
Ag2 0.2499 0.7499 0.0272
Ag3 0.7499 0.2499 0.0272
Ag4 0.7501 0.7499 0.9728
Br1 0.0000 0.2600 0.0000
Br2 0.0000 0.7391 0.5000
Br3 0.5000 0.2391 0.5000
Br4 0.5000 0.7600 0.0000
```

The 8 most intense peaks (10° ≤ 2θ ≤ 80°), sorted by position:
2theta  intensity
15.45  50.4
27.69  29.0
28.47  70.9
36.22  100.0
39.59  28.5
40.78  53.3
42.74  28.8
43.71  33.8